Theoretical PXRD pattern of CaBi2P2O9 for Cu Kα (weighted mean of Kα1 and Kα2), from a cell relaxed with PBE.

Principal peaks in the range 2θ = 10–80°, low angle first:
2theta, Rel. int.
11.00, 46
16.58, 50
20.70, 49
24.90, 37
25.52, 25
27.29, 33
28.43, 100
30.46, 54
42.16, 40
46.07, 25

Atomic structure:
```
CaBi2P2O9
1.0
16.0898 0.0000 0.0000
0.0000 7.1544 0.0000
0.0000 0.0000 7.1507
Ca Bi P O
4 8 8 36
Direct
0.2229 0.2500 0.0760
0.2771 0.7500 0.5760
0.7229 0.2500 0.4240
0.7771 0.7500 0.9240
0.0000 0.0000 0.0000
0.0000 0.5000 0.0000
0.1164 0.2500 0.5968
0.3836 0.7500 0.0968
0.5000 0.0000 0.5000
0.5000 0.5000 0.5000
0.6164 0.2500 0.9032
0.8836 0.7500 0.4032
0.0817 0.7500 0.5935
0.1942 0.7500 0.0794
0.3058 0.2500 0.5794
0.4183 0.2500 0.0935
0.5817 0.7500 0.9065
0.6942 0.7500 0.4206
0.8058 0.2500 0.9206
0.9183 0.2500 0.4065
0.0185 0.7500 0.7662
0.0302 0.7500 0.4132
0.0804 0.2500 0.8917
0.1400 0.5779 0.6064
0.1400 0.9221 0.6064
0.1413 0.5679 0.0878
0.1413 0.9321 0.0878
0.2445 0.2500 0.7511
0.2486 0.2500 0.4043
0.2514 0.7500 0.9043
0.2555 0.7500 0.2511
0.3587 0.0679 0.5878
0.3587 0.4321 0.5878
0.3600 0.0779 0.1064
0.3600 0.4221 0.1064
0.4196 0.7500 0.3917
0.4698 0.2500 0.9132
0.4815 0.2500 0.2662
0.5185 0.7500 0.7338
0.5302 0.7500 0.0868
0.5804 0.2500 0.6083
0.6400 0.5779 0.8936
0.6400 0.9221 0.8936
0.6413 0.5679 0.4122
0.6413 0.9321 0.4122
0.7445 0.2500 0.7489
0.7486 0.2500 0.0957
0.7514 0.7500 0.5957
0.7555 0.7500 0.2489
0.8587 0.0679 0.9122
0.8587 0.4321 0.9122
0.8600 0.0779 0.3936
0.8600 0.4221 0.3936
0.9196 0.7500 0.1083
0.9698 0.2500 0.5868
0.9815 0.2500 0.2338
```


Theoretical PXRD pattern of RbHoTiO4 for Cu Kα (weighted mean of Kα1 and Kα2), from a cell relaxed with PBE.

Principal peaks in the range 2θ = 10–80°, low angle first:
2theta, Rel. int.
12.06, 100
21.71, 86
22.98, 24
24.25, 40
28.47, 87
29.67, 57
32.10, 24
33.81, 38
36.61, 73
38.67, 39

Atomic structure:
```
RbHoTiO4
1.0
5.9128 0.0000 0.0000
0.0000 6.0226 0.0000
-2.5676 0.0000 7.3400
Rb Ho Ti O
2 2 2 8
Direct
0.1903 0.2500 0.4350
0.8097 0.7500 0.5650
0.3134 0.2500 0.9601
0.6866 0.7500 0.0399
0.2301 0.7500 0.1532
0.7699 0.2500 0.8468
0.0074 0.7500 0.9337
0.0301 0.7500 0.2893
0.4497 0.5232 0.1637
0.4497 0.9768 0.1637
0.5503 0.0232 0.8363
0.5503 0.4768 0.8363
0.9699 0.2500 0.7107
0.9926 0.2500 0.0663
```


Theoretical PXRD pattern of Ac4TbPm10 for Cu Kα (weighted mean of Kα1 and Kα2), from a cell relaxed with PBE.

Principal peaks in the range 2θ = 10–80°, low angle first:
2theta, Rel. int.
26.33, 36
29.45, 29
30.45, 100
32.35, 22
33.34, 12
39.12, 26
51.03, 16
54.20, 11
62.95, 12
64.44, 14

Atomic structure:
```
Ac4TbPm10
1.0
-5.8763 5.8763 4.1405
5.8763 -5.8763 4.1405
5.8763 5.8763 -4.1405
Ac Tb Pm
4 1 10
Direct
0.2271 0.2271 0.4541
0.2271 0.7729 0.0000
0.7729 0.2271 0.0000
0.7729 0.7729 0.5459
0.0000 0.0000 0.0000
0.0871 0.2941 0.7930
0.2500 0.7500 0.5000
0.2941 0.0871 0.7930
0.2941 0.5011 0.2070
0.4989 0.7059 0.7930
0.5011 0.2941 0.2070
0.7059 0.4989 0.7930
0.7059 0.9129 0.2070
0.7500 0.2500 0.5000
0.9129 0.7059 0.2070
```


Theoretical PXRD pattern of Tm5Pa2Ru5 for Cu Kα (weighted mean of Kα1 and Kα2), from a cell relaxed with PBE.

Principal peaks in the range 2θ = 10–80°, low angle first:
2theta, Rel. int.
21.01, 8
26.92, 19
32.10, 18
34.02, 13
36.56, 100
38.10, 37
40.24, 19
53.88, 9
65.82, 18
66.84, 14

Atomic structure:
```
Tm5Pa2Ru5
1.0
4.2594 -2.4559 0.0000
4.2594 2.4559 0.0000
-2.8150 0.0000 12.3013
Tm Pa Ru
5 2 5
Direct
0.0000 0.0000 0.0000
0.1902 0.1902 0.5713
0.2821 0.2821 0.8485
0.7179 0.7179 0.1515
0.8098 0.8098 0.4287
0.4263 0.4263 0.2760
0.5737 0.5737 0.7240
0.1150 0.1150 0.3431
0.3596 0.3596 0.0762
0.5000 0.5000 0.5000
0.6404 0.6404 0.9238
0.8850 0.8850 0.6569
```


Theoretical PXRD pattern of Cs2RbAg2Br6 for Cu Kα (weighted mean of Kα1 and Kα2), from a cell relaxed with PBE.

Principal peaks in the range 2θ = 10–80°, low angle first:
2theta, Rel. int.
21.26, 54
21.58, 100
22.63, 68
25.91, 36
28.79, 46
30.82, 77
31.39, 46
31.78, 36
36.00, 43
37.38, 51

Atomic structure:
```
Cs2RbAg2Br6
1.0
7.4165 -3.7645 0.0000
7.4165 3.7645 0.0000
-4.0843 0.0000 8.3601
Cs Rb Ag Br
2 1 2 6
Direct
0.2261 0.2261 0.2188
0.7739 0.7739 0.7812
0.0000 0.0000 0.5000
0.4491 0.4491 0.8102
0.5509 0.5509 0.1898
0.1684 0.6915 0.1546
0.2578 0.2578 0.6415
0.3085 0.8316 0.8454
0.6915 0.1684 0.1546
0.7422 0.7422 0.3585
0.8316 0.3085 0.8454
```


Theoretical PXRD pattern of Mg2H6Ir for Cu Kα (weighted mean of Kα1 and Kα2), from a cell relaxed with PBE.

Principal peaks in the range 2θ = 10–80°, low angle first:
2theta, Rel. int.
19.52, 100
24.49, 16
27.74, 24
31.50, 62
37.33, 63
39.63, 27
44.55, 24
51.48, 32
54.35, 14
70.40, 20

Atomic structure:
```
Mg2H6Ir
1.0
4.5468 0.0000 0.0000
0.0000 3.6354 0.0000
-0.0031 0.0000 4.5492
Mg H Ir
2 6 1
Direct
0.0000 0.0000 0.0000
0.4960 0.0000 0.4925
0.0055 0.0000 0.4850
0.2209 0.5000 0.2262
0.2661 0.5000 0.7091
0.5011 0.0000 0.9911
0.7370 0.5000 0.2732
0.7847 0.5000 0.7555
0.5023 0.5000 0.9905
```


Theoretical PXRD pattern of Dy3Y2Ho8 for Cu Kα (weighted mean of Kα1 and Kα2), from a cell relaxed with PBE.

Principal peaks in the range 2θ = 10–80°, low angle first:
2theta, Rel. int.
24.02, 34
31.17, 100
31.90, 42
32.11, 48
32.48, 41
35.96, 13
37.09, 16
40.50, 17
56.66, 17
63.24, 13

Atomic structure:
```
Dy3Y2Ho8
1.0
-2.7873 3.3849 11.0988
2.7873 -3.3849 11.0988
2.7873 3.3849 -11.0988
Dy Y Ho
3 2 8
Direct
0.0000 0.0000 0.0000
0.2634 0.5000 0.7634
0.7366 0.5000 0.2366
0.2768 0.7768 0.5000
0.7232 0.2232 0.5000
0.1100 0.3484 0.7616
0.1817 0.1817 0.0000
0.4132 0.6516 0.7616
0.4253 0.9253 0.5000
0.5747 0.0747 0.5000
0.5868 0.3484 0.2384
0.8183 0.8183 0.0000
0.8900 0.6516 0.2384
```


Theoretical PXRD pattern of La2Ho3Tm2 for Cu Kα (weighted mean of Kα1 and Kα2), from a cell relaxed with PBE.

Principal peaks in the range 2θ = 10–80°, low angle first:
2theta, Rel. int.
30.58, 100
35.39, 34
35.60, 17
50.91, 12
51.01, 12
51.14, 12
60.49, 7
60.59, 22
60.83, 11
63.71, 9

Atomic structure:
```
La2Ho3Tm2
1.0
7.7807 -1.7927 0.0000
7.7807 1.7927 0.0000
-3.2287 0.0000 8.1422
La Ho Tm
2 3 2
Direct
0.0720 0.0720 0.2160
0.9280 0.9280 0.7840
0.2118 0.2118 0.6414
0.5000 0.5000 0.5000
0.7882 0.7882 0.3586
0.3534 0.3534 0.0702
0.6466 0.6466 0.9298
```


Theoretical PXRD pattern of Nd4Se3Cl for Cu Kα (weighted mean of Kα1 and Kα2), from a cell relaxed with PBE.

Principal peaks in the range 2θ = 10–80°, low angle first:
2theta, Rel. int.
25.72, 18
30.09, 100
42.40, 39
43.75, 35
52.87, 20
62.56, 12
70.00, 17
71.94, 15
77.57, 7
78.51, 12

Atomic structure:
```
Nd4Se3Cl
1.0
2.1317 1.2308 13.3250
-2.1317 1.2308 13.3250
0.0000 -2.4615 13.3250
Nd Se Cl
4 3 1
Direct
0.1225 0.1225 0.1225
0.3754 0.3754 0.3754
0.6246 0.6246 0.6246
0.8775 0.8775 0.8775
0.2518 0.2518 0.2518
0.5000 0.5000 0.5000
0.7482 0.7482 0.7482
0.0000 0.0000 0.0000
```


Theoretical PXRD pattern of CaLa3Pt2 for Cu Kα (weighted mean of Kα1 and Kα2), from a cell relaxed with PBE.

Principal peaks in the range 2θ = 10–80°, low angle first:
2theta, Rel. int.
20.27, 34
23.48, 29
28.99, 74
29.69, 30
31.29, 98
34.44, 100
36.01, 76
40.94, 31
41.40, 50
42.17, 62

Atomic structure:
```
CaLa3Pt2
1.0
4.9885 0.0000 0.0000
0.0000 9.1592 0.0000
0.0000 0.0000 7.5454
Ca La Pt
2 6 4
Direct
0.0000 0.0841 0.0000
0.0000 0.9159 0.5000
0.0000 0.3359 0.6381
0.0000 0.6641 0.1381
0.5000 0.1602 0.3456
0.5000 0.4107 0.9918
0.5000 0.5893 0.4918
0.5000 0.8398 0.8456
0.0000 0.3421 0.2432
0.0000 0.6579 0.7432
0.5000 0.1646 0.7438
0.5000 0.8354 0.2438
```


Theoretical PXRD pattern of MnCrTcGe for Cu Kα (weighted mean of Kα1 and Kα2), from a cell relaxed with PBE.

Principal peaks in the range 2θ = 10–80°, low angle first:
2theta, Rel. int.
25.00, 9
40.56, 100
42.21, 44
42.81, 43
46.83, 65
51.29, 24
65.57, 11
71.14, 9
71.54, 17
72.39, 16

Atomic structure:
```
MnCrTcGe
1.0
4.4107 0.0000 0.0000
0.0000 2.8474 0.0000
-1.2845 0.0000 4.2823
Mn Cr Tc Ge
1 1 1 1
Direct
0.0000 0.0000 0.0000
0.5000 0.0000 0.5000
0.0000 0.5000 0.5000
0.5000 0.5000 0.0000
```


Theoretical PXRD pattern of Y4C7 for Cu Kα (weighted mean of Kα1 and Kα2), from a cell relaxed with PBE.

Principal peaks in the range 2θ = 10–80°, low angle first:
2theta, Rel. int.
27.96, 21
28.42, 52
29.59, 100
31.95, 34
32.33, 27
33.41, 47
34.29, 51
46.93, 17
49.43, 22
54.75, 17

Atomic structure:
```
Y4C7
1.0
3.7229 0.0000 0.0000
0.0000 13.7800 0.0000
-1.6519 0.0000 6.2709
Y C
8 14
Direct
0.0563 0.1625 0.1604
0.0563 0.3375 0.6604
0.3665 0.0551 0.7390
0.3665 0.4449 0.2390
0.6335 0.5551 0.7610
0.6335 0.9449 0.2610
0.9437 0.6625 0.3396
0.9437 0.8375 0.8396
0.0000 0.0000 0.0000
0.0000 0.5000 0.5000
0.2677 0.6046 0.0504
0.2677 0.8954 0.5504
0.3782 0.6966 0.0469
0.3782 0.8034 0.5469
0.4692 0.2158 0.9234
0.4692 0.2842 0.4234
0.5308 0.7158 0.5766
0.5308 0.7842 0.0766
0.6218 0.1966 0.4531
0.6218 0.3034 0.9531
0.7323 0.1046 0.4496
0.7323 0.3954 0.9496
```